The following is a theoretical powder diffraction line list of La6DyEr8. It was derived from a structure optimized by DFT (PBE), using Cu Kα (λ = 1.5418 Å).

Peak list (12 most intense, 2θ = 15–90°, in order of falling intensity)
2θ/deg  I/Imax
31.30  100
31.02  80
31.61  58
30.42  56
36.61  26
32.08  23
55.16  20
59.70  16
52.19  15
34.63  14
53.75  13
62.31  13

Atomic structure:
abc: 8.806 8.806 8.806
angles: 61.95 61.95 61.95
Fractional positions:
La 0.034 0.733 0.591
La 0.267 0.409 0.966
La 0.409 0.966 0.267
La 0.591 0.034 0.733
La 0.733 0.591 0.034
La 0.966 0.267 0.409
Dy 0.500 0.500 0.500
Er 0.077 0.077 0.077
Er 0.205 0.265 0.614
Er 0.265 0.614 0.205
Er 0.386 0.795 0.735
Er 0.614 0.205 0.265
Er 0.735 0.386 0.795
Er 0.795 0.735 0.386
Er 0.923 0.923 0.923